Starting from the PBE geometry in Alexandria, the X-ray diffraction stick pattern of Dy4Ho3Tm3 was simulated for Cu Kα, 1.54184 Å.
Peak positions follow from Bragg's law for the DFT cell and can differ from measured ones.

The 12 most intense peaks (10° ≤ 2θ ≤ 90°), by angle:
hkl 0 4 0, d 3.247, 2θ = 27.47°, I = 123
hkl 0 4 2, d 2.904, 2θ = 30.79°, I = 628
hkl 1 2 2, d 2.872, 2θ = 31.14°, I = 283
hkl 1 1 3, d 2.741, 2θ = 32.67°, I = 1000
hkl 0 1 5, d 2.547, 2θ = 35.24°, I = 100
hkl 1 4 2, d 2.280, 2θ = 39.53°, I = 84
hkl 1 5 3, d 1.905, 2θ = 47.73°, I = 123
hkl 2 0 0, d 1.840, 2θ = 49.53°, I = 118
hkl 1 4 6, d 1.618, 2θ = 56.92°, I = 152
hkl 2 4 2, d 1.554, 2θ = 59.47°, I = 196
hkl 1 7 3, d 1.547, 2θ = 59.77°, I = 174
hkl 2 6 6, d 1.176, 2θ = 81.91°, I = 90

Cell and atoms:
a b c (Å): 3.6805 12.9818 12.9906
angles (deg): 90.00 90.00 90.00
Space group Amm2 (No. 38)
One atom of each set of equivalent atoms:
Dy 0.0000 0.0000 0.0000 x2
Dy 0.0000 0.0000 0.2566 x2
Dy 0.0000 0.1279 0.6289 x4
Ho 0.5000 0.0000 0.4578 x2
Ho 0.5000 0.1707 0.1283 x4
Tm 0.0000 0.2491 0.8782 x4
Tm 0.5000 0.0000 0.7991 x2

Starting from the PBE geometry in Alexandria, the X-ray diffraction stick pattern of Dy3HoTm7 was simulated for Cu Kα, 1.54184 Å.
Peak positions follow from Bragg's law for the DFT cell and can differ from measured ones.

The 12 most intense peaks (10° ≤ 2θ ≤ 90°), by angle:
hkl 1 1 -3, d 2.788, 2θ = 32.10°, I = 470
hkl 2 1 0, d 2.762, 2θ = 32.41°, I = 1000
hkl 2 0 1, d 2.754, 2θ = 32.52°, I = 150
hkl 2 0 -3, d 2.743, 2θ = 32.65°, I = 157
hkl 0 2 0, d 2.716, 2θ = 32.98°, I = 505
hkl 0 1 3, d 2.677, 2θ = 33.48°, I = 525
hkl 2 2 1, d 1.934, 2θ = 46.99°, I = 114
hkl 1 2 3, d 1.824, 2θ = 50.01°, I = 143
hkl 4 0 -2, d 1.711, 2θ = 53.57°, I = 117
hkl 2 3 0, d 1.577, 2θ = 58.53°, I = 193
hkl 0 3 3, d 1.561, 2θ = 59.19°, I = 148
hkl 4 2 -2, d 1.448, 2θ = 64.36°, I = 135

Cell and atoms:
a b c (Å): 6.8430 5.4326 9.8288
angles (deg): 90.00 110.14 90.00
Space group P2/m (No. 10)
One atom of each set of equivalent atoms:
Dy 0.0000 0.0000 0.0000 x1
Dy 0.2790 0.5000 0.4985 x2
Ho 0.5000 0.0000 0.0000 x1
Tm 0.0000 0.0000 0.5000 x1
Tm 0.1472 0.5000 0.7906 x2
Tm 0.3195 0.5000 0.1400 x2
Tm 0.4180 0.0000 0.3306 x2

Starting from the PBE geometry in Alexandria, the X-ray diffraction stick pattern of Dy2Ho2Tm was simulated for Cu Kα, 1.54184 Å.
Peak positions follow from Bragg's law for the DFT cell and can differ from measured ones.

The 12 most intense peaks (10° ≤ 2θ ≤ 90°), by angle:
hkl 0 0 10, d 3.136, 2θ = 28.46°, I = 109
hkl 0 1 9, d 2.957, 2θ = 30.22°, I = 283
hkl 0 2 0, d 2.804, 2θ = 31.91°, I = 1000
hkl 1 0 7, d 2.787, 2θ = 32.12°, I = 169
hkl 1 1 6, d 2.605, 2θ = 34.43°, I = 149
hkl 0 1 11, d 2.541, 2θ = 35.32°, I = 196
hkl 1 0 13, d 1.997, 2θ = 45.42°, I = 84
hkl 1 2 7, d 1.976, 2θ = 45.93°, I = 126
hkl 2 0 0, d 1.779, 2θ = 51.35°, I = 92
hkl 1 2 13, d 1.626, 2θ = 56.60°, I = 88
hkl 1 3 4, d 1.619, 2θ = 56.89°, I = 131
hkl 2 2 0, d 1.502, 2θ = 61.76°, I = 105

Cell and atoms:
a b c (Å): 3.5588 5.6047 31.3616
angles (deg): 90.00 90.00 90.00
Space group Imma (No. 74)
One atom of each set of equivalent atoms:
Dy 0.0000 0.2500 0.1922 x4
Dy 0.0000 0.2500 0.7076 x4
Ho 0.0000 0.2500 0.8801 x4
Ho 0.0000 0.2500 0.9783 x4
Tm 0.0000 0.2500 0.4225 x4

Starting from the PBE geometry in Alexandria, the X-ray diffraction stick pattern of Dy3Ho2Tm8 was simulated for Cu Kα, 1.54184 Å.
Peak positions follow from Bragg's law for the DFT cell and can differ from measured ones.

The 12 most intense peaks (10° ≤ 2θ ≤ 90°), by angle:
hkl 2 2 0, d 3.516, 2θ = 25.33°, I = 194
hkl 1 5 1, d 2.977, 2θ = 30.01°, I = 278
hkl 0 6 1, d 2.858, 2θ = 31.30°, I = 310
hkl 0 0 2, d 2.756, 2θ = 32.49°, I = 396
hkl 2 4 1, d 2.638, 2θ = 33.98°, I = 1000
hkl 0 8 0, d 2.507, 2θ = 35.82°, I = 126
hkl 2 2 2, d 2.169, 2θ = 41.64°, I = 105
hkl 0 8 2, d 1.855, 2θ = 49.13°, I = 104
hkl 2 4 3, d 1.568, 2θ = 58.90°, I = 272
hkl 4 0 2, d 1.551, 2θ = 59.59°, I = 94
hkl 2 10 2, d 1.489, 2θ = 62.36°, I = 103
hkl 3 9 2, d 1.425, 2θ = 65.52°, I = 96

Cell and atoms:
a b c (Å): 7.5080 20.0558 5.5123
angles (deg): 90.00 90.00 90.00
Space group Cmmm (No. 65)
One atom of each set of equivalent atoms:
Dy 0.0000 0.0000 0.0000 x2
Dy 0.2148 0.5000 0.5000 x4
Ho 0.0000 0.2413 0.0000 x4
Tm 0.0000 0.1332 0.5000 x4
Tm 0.0000 0.3328 0.5000 x4
Tm 0.2125 0.3907 0.0000 x8